# K3Li3TeO6
Calculated powder diffractogram, Cu Kα. Input: a crystal structure in the Materials Project, relaxed with PBE.
Lines closer than 0.1° are merged.

Peak list (10 most intense, 2θ = 15–90°, by angle)
| 2θ (°) | I/Imax |
| --- | --- |
| 17.16 | 31 |
| 18.73 | 100 |
| 19.54 | 52 |
| 22.83 | 30 |
| 28.43 | 69 |
| 29.41 | 35 |
| 31.00 | 40 |
| 41.77 | 33 |
| 42.62 | 34 |
| 43.79 | 39 |

```
data_K3Li3TeO6
_chemical_formula_sum 'K12 Li12 Te4 O24'
_symmetry_space_group_name_H-M 'P n m a'
_symmetry_Int_Tables_number 62
_symmetry_space_group_name_Hall '-P 2ac 2n'
_cell_length_a 11.858
_cell_length_b 6.074
_cell_length_c 9.834
_cell_angle_alpha 90.00
_cell_angle_beta 90.00
_cell_angle_gamma 90.00
loop_
_atom_site_label
_atom_site_fract_x
_atom_site_fract_y
_atom_site_fract_z
_atom_site_occupancy
K1 0.006 0.250 0.207 1
K2 0.028 0.250 0.872 1
K3 0.038 0.750 0.459 1
Li1 0.243 0.506 0.836 1
Li2 0.249 0.250 0.091 1
Te1 0.244 0.250 0.587 1
O1 0.147 0.012 0.661 1
O2 0.158 0.514 0.015 1
O3 0.164 0.250 0.409 1
O4 0.176 0.750 0.262 1
```



# K3LiTi7O16
Calculated powder diffractogram, Cu Kα. Input: a crystal structure in the Materials Project, relaxed with PBE.
Lines closer than 0.1° are merged.

Peak list (10 most intense, 2θ = 15–90°, by angle)
| 2θ (°) | I/Imax |
| --- | --- |
| 23.90 | 11 |
| 25.30 | 10 |
| 28.73 | 100 |
| 31.85 | 20 |
| 33.69 | 11 |
| 37.47 | 50 |
| 45.54 | 30 |
| 47.50 | 28 |
| 55.97 | 11 |
| 56.11 | 11 |

```
data_K3LiTi7O16
_chemical_formula_sum 'K3 Li1 Ti7 O16'
_symmetry_space_group_name_H-M 'P 1'
_symmetry_Int_Tables_number 1
_symmetry_space_group_name_Hall 'P 1'
_cell_length_a 7.107
_cell_length_b 7.141
_cell_length_c 8.207
_cell_angle_alpha 97.24
_cell_angle_beta 97.14
_cell_angle_gamma 114.99
loop_
_atom_site_label
_atom_site_fract_x
_atom_site_fract_y
_atom_site_fract_z
_atom_site_occupancy
K1 0.000 0.000 0.000 1
K2 0.278 0.688 0.975 1
K3 0.569 0.391 0.004 1
Li1 0.369 0.280 0.342 1
Ti1 0.062 0.220 0.595 1
Ti2 0.124 0.518 0.326 1
Ti3 0.311 0.973 0.594 1
Ti4 0.555 0.714 0.595 1
Ti5 0.607 0.034 0.326 1
Ti6 0.802 0.467 0.596 1
Ti7 0.872 0.782 0.350 1
O1 0.044 0.708 0.547 1
O2 0.129 0.041 0.413 1
O3 0.201 0.391 0.174 1
O4 0.230 0.141 0.742 1
O5 0.284 0.461 0.534 1
O6 0.384 0.795 0.402 1
O7 0.453 0.085 0.174 1
O8 0.465 0.877 0.736 1
O9 0.551 0.195 0.535 1
O10 0.646 0.554 0.414 1
O11 0.705 0.857 0.202 1
O12 0.709 0.620 0.743 1
O13 0.797 0.955 0.547 1
O14 0.883 0.294 0.396 1
O15 0.964 0.632 0.202 1
O16 0.970 0.380 0.735 1
```



# KLiZnO2
Calculated powder diffractogram, Cu Kα. Input: a crystal structure in the Materials Project, relaxed with PBE.
Lines closer than 0.1° are merged.

Peak list (10 most intense, 2θ = 15–90°, by angle)
| 2θ (°) | I/Imax |
| --- | --- |
| 16.43 | 50 |
| 18.70 | 46 |
| 27.97 | 100 |
| 32.22 | 46 |
| 33.33 | 55 |
| 36.20 | 48 |
| 38.17 | 51 |
| 40.80 | 50 |
| 43.20 | 72 |
| 56.70 | 29 |

```
data_KLiZnO2
_chemical_formula_sum 'K4 Li4 Zn4 O8'
_symmetry_space_group_name_H-M 'C 1 2/m 1'
_symmetry_Int_Tables_number 12
_symmetry_space_group_name_Hall '-C 2y'
_cell_length_a 10.965
_cell_length_b 3.387
_cell_length_c 8.335
_cell_angle_alpha 90.00
_cell_angle_beta 120.07
_cell_angle_gamma 90.00
loop_
_atom_site_label
_atom_site_fract_x
_atom_site_fract_y
_atom_site_fract_z
_atom_site_occupancy
K1 0.163 0.000 0.130 1
Li1 0.159 0.500 0.445 1
Zn1 0.044 0.000 0.682 1
O1 0.039 0.500 0.807 1
O2 0.162 0.000 0.562 1
```



# KLiZn3O4
Calculated powder diffractogram, Cu Kα. Input: a crystal structure in the Materials Project, relaxed with PBE.
Lines closer than 0.1° are merged.

Peak list (10 most intense, 2θ = 15–90°, by angle)
| 2θ (°) | I/Imax |
| --- | --- |
| 21.47 | 40 |
| 28.61 | 39 |
| 33.99 | 44 |
| 34.13 | 32 |
| 34.31 | 34 |
| 35.87 | 97 |
| 36.10 | 100 |
| 54.56 | 25 |
| 61.90 | 37 |
| 65.90 | 22 |

```
data_KLiZn3O4
_chemical_formula_sum 'K2 Li2 Zn6 O8'
_symmetry_space_group_name_H-M 'C 1 m 1'
_symmetry_Int_Tables_number 8
_symmetry_space_group_name_Hall 'C -2y'
_cell_length_a 11.721
_cell_length_b 3.364
_cell_length_c 8.277
_cell_angle_alpha 90.00
_cell_angle_beta 134.42
_cell_angle_gamma 90.00
loop_
_atom_site_label
_atom_site_fract_x
_atom_site_fract_y
_atom_site_fract_z
_atom_site_occupancy
K1 0.000 0.000 0.000 1
Li1 0.315 0.500 0.184 1
Zn1 0.118 0.500 0.435 1
Zn2 0.192 0.000 0.835 1
Zn3 0.365 0.000 0.537 1
O1 0.091 0.500 0.820 1
O2 0.222 0.000 0.626 1
O3 0.260 0.500 0.365 1
O4 0.393 0.000 0.165 1
```



# K3LiPb4
Calculated powder diffractogram, Cu Kα. Input: a crystal structure in the Materials Project, relaxed with PBE.
Lines closer than 0.1° are merged.

Peak list (10 most intense, 2θ = 15–90°, by angle)
| 2θ (°) | I/Imax |
| --- | --- |
| 15.78 | 39 |
| 20.30 | 61 |
| 26.67 | 52 |
| 29.11 | 37 |
| 29.89 | 48 |
| 33.99 | 100 |
| 37.44 | 22 |
| 40.48 | 28 |
| 49.33 | 20 |
| 61.66 | 17 |

```
data_K3LiPb4
_chemical_formula_sum 'K12 Li4 Pb16'
_symmetry_space_group_name_H-M 'C m c m'
_symmetry_Int_Tables_number 63
_symmetry_space_group_name_Hall '-C 2c 2'
_cell_length_a 7.327
_cell_length_b 16.353
_cell_length_c 10.358
_cell_angle_alpha 90.00
_cell_angle_beta 90.00
_cell_angle_gamma 90.00
loop_
_atom_site_label
_atom_site_fract_x
_atom_site_fract_y
_atom_site_fract_z
_atom_site_occupancy
K1 0.000 0.110 0.048 1
K2 0.000 0.269 0.750 1
Li1 0.000 0.500 0.000 1
Pb1 0.000 0.325 0.100 1
Pb2 0.216 0.461 0.250 1
```



# K2LiVS4
Calculated powder diffractogram, Cu Kα. Input: a crystal structure in the Materials Project, relaxed with PBE.
Lines closer than 0.1° are merged.

Peak list (10 most intense, 2θ = 15–90°, by angle)
| 2θ (°) | I/Imax |
| --- | --- |
| 16.09 | 68 |
| 16.93 | 46 |
| 26.81 | 30 |
| 27.20 | 100 |
| 29.06 | 100 |
| 31.83 | 81 |
| 32.40 | 46 |
| 33.92 | 42 |
| 34.24 | 33 |
| 45.77 | 41 |

```
data_K2LiVS4
_chemical_formula_sum 'K16 Li8 V8 S32'
_symmetry_space_group_name_H-M 'C 1 c 1'
_symmetry_Int_Tables_number 9
_symmetry_space_group_name_Hall 'C -2yc'
_cell_length_a 10.700
_cell_length_b 8.521
_cell_length_c 18.223
_cell_angle_alpha 90.00
_cell_angle_beta 94.84
_cell_angle_gamma 90.00
loop_
_atom_site_label
_atom_site_fract_x
_atom_site_fract_y
_atom_site_fract_z
_atom_site_occupancy
K1 0.000 0.015 0.000 1
K2 0.016 0.181 0.252 1
K3 0.145 0.475 0.929 1
K4 0.384 0.026 0.075 1
Li1 0.161 0.242 0.718 1
Li2 0.370 0.258 0.286 1
V1 0.262 0.445 0.147 1
V2 0.271 0.055 0.857 1
S1 0.080 0.148 0.848 1
S2 0.135 0.283 0.089 1
S3 0.212 0.479 0.259 1
S4 0.252 0.333 0.592 1
S5 0.280 0.167 0.412 1
S6 0.321 0.021 0.746 1
S7 0.398 0.217 0.915 1
S8 0.452 0.353 0.155 1
```